For Sr6W3O14, a DFT-relaxed cell (GGA+U, Alexandria) gives the theoretical XRD peak list in this record (Cu Kα (λ = 1.5418 Å)).
Peak positions follow from Bragg's law for the DFT cell and can differ from measured ones.

Largest 8 diffraction maxima, sorted by position, 2θ from 5° to 70°:
d 4.564, rel. 32, (1 0 1)
d 4.458, rel. 46, (1 1 0)
d 3.502, rel. 40, (1 1 1)
d 3.189, rel. 100, (0 2 1)
d 2.594, rel. 34, (2 1 1)
d 2.574, rel. 18, (3 0 0)
d 2.389, rel. 17, (1 1 2)
d 2.229, rel. 23, (2 2 0)

Atomic structure:
```
data_Sr6W3O14
_chemical_formula_sum 'Sr6 W3 O14'
_symmetry_space_group_name_H-M 'P 3'
_symmetry_Int_Tables_number 143
_cell_length_a 8.9152
_cell_length_b 8.9152
_cell_length_c 5.6587
_cell_angle_alpha 90.00
_cell_angle_beta 90.00
_cell_angle_gamma 120.00
loop_
_symmetry_equiv_pos_as_xyz
'x,y,z'
'-y,x-y,z'
'-x+y,-x,z'
loop_
_atom_site_label
_atom_site_fract_x
_atom_site_fract_y
_atom_site_fract_z
_atom_site_occupancy
Sr1 0.9999 0.5607 0.0000 1
Sr2 0.0706 0.2741 0.4488 1
W1 0.0000 0.0000 0.9969 1
W2 0.3333 0.6667 0.6029 1
W3 0.6667 0.3333 0.5501 1
O1 0.0000 0.0000 0.6538 1
O2 0.1255 0.5861 0.4057 1
O3 0.2024 0.4616 0.8076 1
O4 0.2160 0.1594 0.1703 1
O5 0.4522 0.2065 0.6787 1
O6 0.6667 0.3333 0.2248 1
```